Theoretical X-ray powder pattern of Li9MgNi12O26 for λ = 1.5418 Å (Cu Kα), from a DFT-relaxed cell (PBE+U, Alexandria).
Neutral-atom scattering factors, no anomalous dispersion.

Top 12 peaks for 2θ from 10° to 90°, by angle:
d_spacing	Position (°2θ)	I/Imax	(hkl)
4.839	18.3	100	0 1 -1
2.481	36.2	13	1 2 3
2.435	36.9	12	3 1 1
2.420	37.2	16	-2 2 1
2.075	43.6	20	1 1 4
2.040	44.4	19	3 2 0
2.029	44.7	19	2 -3 0
1.882	48.4	8	2 0 -3
1.465	63.5	10	3 -2 4
1.463	63.6	5	2 1 -4
1.446	64.4	5	4 3 4
1.165	82.8	8	-4 2 4

Atomic structure:
a b c (Å): 7.5161 7.6971 8.3006
angles (deg): 75.64 73.98 85.06
Space group P1 (No. 1)
Asymmetric unit:
Li: 0.0000 0.0000 0.0000
Li: 0.0483 0.3873 0.4054
Li: 0.1409 0.7444 0.7587
Li: 0.2131 0.1481 0.1557
Li: 0.4561 0.2964 0.3162
Li: 0.5256 0.6845 0.6999
Li: 0.6048 0.0676 0.0770
Li: 0.6736 0.4445 0.4700
Li: 0.7543 0.8380 0.8441
Mg: 0.6819 0.4462 0.9672
Ni: 0.0650 0.3778 0.8885
Ni: 0.1388 0.7586 0.2731
Ni: 0.2208 0.1416 0.6577
Ni: 0.2927 0.5310 0.0493
Ni: 0.3722 0.9122 0.4208
Ni: 0.4480 0.2958 0.8155
Ni: 0.5244 0.6859 0.1925
Ni: 0.6027 0.0625 0.5832
Ni: 0.7556 0.8355 0.3471
Ni: 0.8350 0.2171 0.7369
Ni: 0.9063 0.6026 0.1233
Ni: 0.9858 0.9908 0.5032
O: 0.0535 0.3486 0.6512
O: 0.0711 0.4042 0.1383
O: 0.1263 0.7336 0.0462
O: 0.1478 0.7878 0.4975
O: 0.2165 0.1180 0.4151
O: 0.2207 0.1736 0.8961
O: 0.2932 0.5174 0.8277
O: 0.3012 0.5535 0.2703
O: 0.3710 0.9148 0.6464
O: 0.3807 0.9014 0.1949
O: 0.4338 0.3179 0.0663
O: 0.4537 0.2691 0.5701
O: 0.5101 0.6683 0.9731
O: 0.5301 0.7070 0.4174
O: 0.5936 0.0417 0.3429
O: 0.6155 0.0854 0.8199
O: 0.6692 0.4215 0.7272
O: 0.6771 0.4806 0.2086
O: 0.7482 0.8076 0.1013
O: 0.7557 0.8595 0.5920
O: 0.8361 0.2027 0.5127
O: 0.8443 0.2260 0.9578
O: 0.8967 0.6184 0.3470
O: 0.9184 0.5892 0.8971
O: 0.9833 0.9599 0.2590
O: 0.9870 0.0065 0.7508